Structure and theoretical X-ray diffraction stick pattern of CsNdI3 (a DFT-relaxed cell (PBE, Alexandria); Cu Kα).
No peak broadening, texture or thermal motion is included.

Principal peaks in the range 10° ≤ 2θ ≤ 90°, by angle:
2θ/deg	Rel. int.
11.54	26
26.44	100
34.50	41
40.77	34
45.14	23
49.25	17
65.79	14
67.82	15

Structural model:
```
CsNdI3
1.0
8.8536 0.0000 0.0000
-4.4268 7.6674 0.0000
0.0000 0.0000 7.0751
Cs Nd I
2 2 6
Cartesian
0.0000 5.1116 1.7688 Cs
4.4268 2.5558 5.3063 Cs
0.0000 0.0000 0.0000 Nd
0.0000 0.0000 3.5375 Nd
0.0000 2.6729 5.3063 I
-2.1120 6.3310 5.3063 I
2.3148 1.3365 1.7688 I
2.1120 6.3310 5.3063 I
6.5388 1.3365 1.7688 I
4.4268 4.9945 1.7688 I
```

***

Structure and theoretical X-ray diffraction stick pattern of Cs4NdI7 (a DFT-relaxed cell (PBE, Alexandria); Cu Kα).
No peak broadening, texture or thermal motion is included.

Principal peaks in the range 10° ≤ 2θ ≤ 90°, by angle:
2θ/deg	Rel. int.
10.16	61
17.08	77
22.62	66
24.49	86
26.93	93
28.11	57
28.45	100
37.89	61

Structural model:
```
Cs4NdI7
1.0
9.7182 -3.1371 0.0000
9.7182 3.1371 0.0000
-3.5508 0.0000 12.4299
Cs Nd I
4 1 7
Cartesian
-0.4422 0.0000 2.5562 Cs
1.9609 0.0000 10.2213 Cs
13.9247 0.0000 2.2085 Cs
16.3278 0.0000 9.8737 Cs
7.9428 0.0000 6.2149 Nd
-1.7754 0.0000 6.2149 I
2.7223 0.0000 0.5011 I
5.2262 0.0000 7.7413 I
6.5574 0.0000 3.4211 I
9.3282 0.0000 9.0088 I
10.6594 0.0000 4.6885 I
13.1633 0.0000 11.9288 I
```

***

Structure and theoretical X-ray diffraction stick pattern of Cs2NdI4 (a DFT-relaxed cell (PBE, Alexandria); Cu Kα).
No peak broadening, texture or thermal motion is included.

Principal peaks in the range 10° ≤ 2θ ≤ 90°, by angle:
2θ/deg	Rel. int.
10.57	47
22.43	90
23.50	96
27.23	47
27.54	100
29.14	66
29.62	60
35.04	50

Structural model:
```
Cs2NdI4
1.0
9.7247 0.0000 0.0000
0.0000 16.4377 0.0000
0.0000 0.0000 4.5012
Cs Nd I
4 2 8
Cartesian
0.7845 2.7281 0.0000 Cs
4.0778 10.9469 0.0000 Cs
5.6469 5.4908 0.0000 Cs
8.9401 13.7096 0.0000 Cs
0.0000 8.2188 2.2506 Nd
4.8623 0.0000 2.2506 Nd
1.0375 11.2400 2.2506 I
2.2362 7.4721 0.0000 I
2.6261 15.6910 0.0000 I
3.8249 3.0211 2.2506 I
5.8998 13.4166 2.2506 I
7.0986 0.7467 0.0000 I
7.4884 8.9656 0.0000 I
8.6872 5.1977 2.2506 I
```

***

Structure and theoretical X-ray diffraction stick pattern of Cs3Nd2I8 (a DFT-relaxed cell (PBE, Alexandria); Cu Kα).
No peak broadening, texture or thermal motion is included.

Principal peaks in the range 10° ≤ 2θ ≤ 90°, by angle:
2θ/deg	Rel. int.
17.81	89
17.96	75
22.59	57
25.85	100
26.21	72
29.27	49
30.97	82
36.54	48

Structural model:
```
Cs3Nd2I8
1.0
8.4603 0.0000 0.0000
-4.0862 9.2006 0.0000
-4.0361 -2.0278 10.1821
Cs Nd I
3 2 8
Cartesian
0.0000 0.0000 0.0000 Cs
-0.3112 6.3725 3.0361 Cs
0.6493 0.8003 7.1460 Cs
-3.5712 4.0303 6.9260 Nd
3.9092 3.1425 3.2561 Nd
-3.2356 1.2071 8.0748 I
-1.7437 2.9128 4.5145 I
-4.8940 5.1145 9.5145 I
2.0447 0.6680 3.3851 I
-1.7067 6.5048 6.7970 I
5.2321 2.0583 0.6676 I
2.0817 4.2600 5.6676 I
3.5737 5.9657 2.1073 I
```

***

Structure and theoretical X-ray diffraction stick pattern of CsRbNd2I8 (a DFT-relaxed cell (PBE, Alexandria); Cu Kα).
No peak broadening, texture or thermal motion is included.

Principal peaks in the range 10° ≤ 2θ ≤ 90°, by angle:
2θ/deg	Rel. int.
20.60	31
22.59	63
25.59	32
27.76	100
33.07	40
36.09	54
36.90	32
42.63	35

Structural model:
```
CsRbNd2I8
1.0
8.6218 0.0000 0.0000
-4.3109 7.4667 0.0000
0.0000 0.0000 9.6431
Cs Rb Nd I
1 1 2 8
Cartesian
0.0000 0.0000 0.0000 Cs
0.0000 0.0000 4.8215 Rb
0.0000 4.9778 3.9793 Nd
4.3109 2.4889 5.6638 Nd
-1.1872 2.9502 6.3295 I
0.0000 4.9778 0.9365 I
-1.1624 7.0198 6.3295 I
1.9613 2.5033 3.3136 I
2.3496 4.9634 6.3295 I
5.4733 0.4469 3.3136 I
4.3109 2.4889 8.7066 I
5.4981 4.5165 3.3136 I
```

***

Structure and theoretical X-ray diffraction stick pattern of CsNdSeI (a DFT-relaxed cell (PBE, Alexandria); Cu Kα).
No peak broadening, texture or thermal motion is included.

Principal peaks in the range 10° ≤ 2θ ≤ 90°, by angle:
2θ/deg	Rel. int.
23.54	14
24.22	12
26.77	22
28.55	100
40.67	31
40.97	40
50.69	20
67.13	17

Structural model:
```
CsNdSeI
1.0
4.4062 0.0000 0.0000
-2.2031 3.8159 0.0000
0.0000 0.0000 27.2658
Cs Nd Se I
3 3 3 3
Cartesian
0.0000 0.0000 0.0000 Cs
0.0000 2.5439 18.1772 Cs
2.2031 1.2720 9.0886 Cs
0.0000 0.0000 22.0575 Nd
0.0000 2.5439 12.9689 Nd
2.2031 1.2720 3.8803 Nd
0.0000 0.0000 11.4390 Se
0.0000 2.5439 2.3504 Se
2.2031 1.2720 20.5276 Se
0.0000 0.0000 5.9971 I
0.0000 2.5439 24.1743 I
2.2031 1.2720 15.0858 I
```

***

Structure and theoretical X-ray diffraction stick pattern of Cs2NiI7 (a DFT-relaxed cell (PBE, Alexandria); Cu Kα).
No peak broadening, texture or thermal motion is included.

Principal peaks in the range 10° ≤ 2θ ≤ 90°, by angle:
2θ/deg	Rel. int.
25.63	100
28.36	37
30.33	76
32.11	18
42.00	47
43.42	28
51.10	25
52.67	23

Structural model:
```
Cs2NiI7
1.0
-4.1682 4.1682 6.2948
4.1682 -4.1682 6.2948
4.1682 4.1682 -6.2948
Cs Ni I
2 1 7
Cartesian
4.1682 0.0000 3.1474 Cs
0.0000 4.1682 3.1474 Cs
0.0000 0.0000 0.0000 Ni
0.0000 0.0000 2.5841 I
1.9226 1.9226 0.0000 I
2.2455 -2.2455 6.2948 I
0.0000 0.0000 6.2948 I
-2.2455 2.2455 6.2948 I
2.2455 2.2455 6.2948 I
0.0000 0.0000 10.0055 I
```

***

Structure and theoretical X-ray diffraction stick pattern of CsNiI3 (a DFT-relaxed cell (PBE, Alexandria); Cu Kα).
No peak broadening, texture or thermal motion is included.

Principal peaks in the range 10° ≤ 2θ ≤ 90°, by angle:
2θ/deg	Rel. int.
21.71	26
24.53	26
25.10	27
25.62	50
26.08	100
31.58	26
32.05	33
46.25	32

Structural model:
```
CsNiI3
1.0
8.4425 0.0000 0.0000
0.0000 7.8440 0.0000
-3.5031 0.0000 13.9094
Cs Ni I
4 4 12
Cartesian
1.0080 0.1406 3.2507 Cs
-0.7435 3.7814 10.2054 Cs
5.6829 4.0626 3.7040 Cs
3.9313 7.7034 10.6587 Cs
1.4605 4.4778 6.0602 Ni
-0.2910 7.2883 13.0149 Ni
5.2304 0.5558 0.8945 Ni
3.4788 3.3662 7.8492 Ni
-2.3196 5.8236 13.3837 I
-0.5680 5.9424 6.4290 I
1.4918 4.1218 3.5178 I
-0.2598 7.6442 10.4725 I
3.0973 1.7713 0.1660 I
1.3458 2.1507 7.1207 I
3.5936 5.6933 6.7887 I
1.8420 6.0727 13.7434 I
5.1991 0.1998 3.4369 I
3.4476 3.7222 10.3916 I
5.5074 1.9016 7.4804 I
7.2589 2.0204 0.5257 I
```

***

Structure and theoretical X-ray diffraction stick pattern of Cs3NiI6 (a DFT-relaxed cell (PBE, Alexandria); Cu Kα).
No peak broadening, texture or thermal motion is included.

Principal peaks in the range 10° ≤ 2θ ≤ 90°, by angle:
2θ/deg	Rel. int.
23.73	39
23.93	100
25.28	45
25.94	41
28.13	62
28.89	44
31.15	55
35.89	70

Structural model:
```
Cs3NiI6
1.0
8.5732 0.0000 0.0000
0.0000 9.4302 0.0000
-8.5401 0.0000 12.3608
Cs Ni I
6 2 12
Cartesian
0.0000 0.0000 0.0000 Cs
-4.2701 4.7151 6.1804 Cs
-4.4986 0.7431 9.3625 Cs
-0.2286 3.9720 3.1821 Cs
0.2617 5.4582 9.1787 Cs
4.5317 8.6871 2.9983 Cs
0.0165 0.0000 6.1804 Ni
4.2866 4.7151 0.0000 Ni
-2.1803 1.3705 5.7276 I
-6.4503 3.3446 11.9081 I
-1.3704 6.9173 5.5407 I
-5.6404 7.2281 11.7211 I
0.7261 0.2249 3.6783 I
-3.5440 4.4902 9.8587 I
3.5771 4.9400 2.5021 I
-0.6930 9.2053 8.6826 I
5.6735 2.2022 0.6397 I
1.4035 2.5130 6.8201 I
6.4834 6.0856 0.4528 I
2.2134 8.0597 6.6332 I
```

***

Structure and theoretical X-ray diffraction stick pattern of Cs3Ni2I9 (a DFT-relaxed cell (PBE, Alexandria); Cu Kα).
No peak broadening, texture or thermal motion is included.

Principal peaks in the range 10° ≤ 2θ ≤ 90°, by angle:
2θ/deg	Rel. int.
13.38	34
25.41	50
25.90	23
26.94	76
28.59	100
30.77	77
45.04	51
52.42	36

Structural model:
```
Cs3Ni2I9
1.0
8.0517 0.0000 0.0000
-4.0258 6.9729 0.0000
0.0000 0.0000 21.0292
Cs Ni I
6 4 18
Cartesian
0.0000 0.0000 5.2573 Cs
0.0000 0.0000 15.7719 Cs
0.0000 4.6486 1.3752 Cs
0.0000 4.6486 9.1394 Cs
4.0258 2.3243 11.8898 Cs
4.0258 2.3243 19.6540 Cs
0.0000 4.6486 14.0244 Ni
0.0000 4.6486 17.5195 Ni
4.0258 2.3243 3.5098 Ni
4.0258 2.3243 7.0048 Ni
-1.8214 3.5971 15.7719 I
0.0000 2.4495 12.5294 I
0.0000 2.4495 19.0145 I
-1.9045 5.7482 12.5294 I
-1.9045 5.7482 19.0145 I
2.1213 1.2247 2.0148 I
2.1213 1.2247 8.4999 I
1.8214 3.5971 15.7719 I
0.0000 6.7518 15.7719 I
4.0258 0.2212 5.2573 I
2.2045 3.3759 5.2573 I
1.9045 5.7482 12.5294 I
1.9045 5.7482 19.0145 I
5.9304 1.2247 2.0148 I
5.9304 1.2247 8.4999 I
4.0258 4.5235 2.0148 I
4.0258 4.5235 8.4999 I
5.8472 3.3759 5.2573 I
```